Ce2B2S5: calculated powder diffraction line list (CuKα), based on a cell relaxed with PBE.
Peak positions follow from Bragg's law for the DFT cell and can differ from measured ones.

The 10 most intense peaks (5° ≤ 2θ ≤ 70°), by intensity:
d_spacing  I/Imax  index
7.249  100  0 0 1
2.949  42  3 1 0
3.624  31  0 0 2
3.304  29  1 1 -1
3.722  28  4 0 0
2.552  27  3 1 -2
2.092  20  3 1 2
2.391  18  5 1 -1
7.444  16  2 0 0
3.562  15  1 1 0

Structural model:
Unit cell a=15.8136 b=3.6690 c=7.6996 alpha=90.00 beta=109.70 gamma=90.00
Space group C2/m (No. 12)
One atom of each set of equivalent atoms:
Ce1 0.1325 0.0000 0.0101 x4
B1 0.2054 0.5000 0.5580 x4
S1 0.0000 0.5000 0.0000 x2
S2 0.1695 0.0000 0.4225 x4
S3 0.1785 0.5000 0.7764 x4

---

Ce2BSe5: calculated powder diffraction line list (CuKα), based on a cell relaxed with PBE.
Peak positions follow from Bragg's law for the DFT cell and can differ from measured ones.

The 10 most intense peaks (5° ≤ 2θ ≤ 70°), by intensity:
d_spacing  I/Imax  index
3.029  100  2 2 -1
2.908  93  2 2 0
2.432  75  2 2 -2
2.254  74  2 2 1
5.371  65  0 0 1
2.685  58  0 0 2
2.246  39  0 4 0
2.124  35  4 0 -1
2.893  33  2 0 -2
2.305  32  0 2 2

Structural model:
Unit cell a=8.5435 b=8.9844 c=6.0147 alpha=90.00 beta=116.75 gamma=90.00
Space group Cm (No. 8)
One atom of each set of equivalent atoms:
Ce1 0.0000 0.2442 0.0000 x4
B1 0.3776 0.5000 0.2938 x2
Se1 0.1293 0.0000 0.3356 x2
Se2 0.2084 0.5000 0.8985 x2
Se3 0.2729 0.0000 0.9300 x2
Se4 0.3404 0.3023 0.4288 x4

---

CeBSe4: calculated powder diffraction line list (CuKα), based on a cell relaxed with PBE.
Peak positions follow from Bragg's law for the DFT cell and can differ from measured ones.

The 10 most intense peaks (5° ≤ 2θ ≤ 70°), by intensity:
d_spacing  I/Imax  index
2.788  100  3 0 1
4.511  91  2 0 0
2.371  72  3 2 1
2.866  66  2 0 2
2.387  52  1 0 3
2.262  50  3 1 2
1.845  35  3 3 2
5.733  34  1 0 1
1.753  34  4 3 1
2.256  25  4 0 0

Structural model:
Unit cell a=9.0227 b=9.0227 c=7.4244 alpha=90.00 beta=90.00 gamma=90.00
Space group I4_1/amd (No. 141, origin choice 2)
One atom of each set of equivalent atoms:
Ce1 0.0000 0.2500 0.3750 x4
B1 0.0000 0.2500 0.8750 x4
Se1 0.0000 0.0704 0.7061 x16

---

CeSiB: calculated powder diffraction line list (CuKα), based on a cell relaxed with PBE.
Peak positions follow from Bragg's law for the DFT cell and can differ from measured ones.

The 10 most intense peaks (5° ≤ 2θ ≤ 70°), by intensity:
d_spacing  I/Imax  index
2.532  100  1 1 2
3.729  66  1 0 1
2.880  60  1 0 3
2.143  38  1 0 5
1.949  29  2 0 0
3.206  27  0 0 4
1.442  21  2 1 5
1.614  21  2 1 3
1.665  16  2 0 4
1.727  16  2 1 1

Structural model:
Unit cell a=3.8975 b=3.8975 c=12.8240 alpha=90.00 beta=90.00 gamma=90.00
Space group I-4m2 (No. 119)
One atom of each set of equivalent atoms:
Ce1 0.0000 0.0000 0.0000 x2
Ce2 0.0000 0.5000 0.2500 x2
Si1 0.0000 0.5000 0.6571 x4
B1 0.0000 0.0000 0.4313 x4

---

Ce2SmB9: calculated powder diffraction line list (CuKα), based on a cell relaxed with PBE.
Peak positions follow from Bragg's law for the DFT cell and can differ from measured ones.

The 10 most intense peaks (5° ≤ 2θ ≤ 70°), by intensity:
d_spacing  I/Imax  index
3.816  100  1 0 1
2.612  71  0 1 8
2.224  46  1 1 0
2.795  42  1 0 7
1.818  38  1 1 9
3.717  23  0 1 2
3.159  23  0 0 9
1.921  20  0 2 1
2.287  19  1 0 10
1.347  17  1 2 8

Structural model:
Unit cell a=4.4470 b=4.4470 c=28.4300 alpha=90.00 beta=90.00 gamma=120.00
Space group R-3m (No. 166, hexagonal axes)
One atom of each set of equivalent atoms:
Ce1 0.0000 0.0000 0.1187 x6
Sm1 0.0000 0.0000 0.0000 x3
B1 0.0000 0.0000 0.4058 x6
B2 0.0000 0.0000 0.5000 x3
B3 0.0904 0.5452 0.9360 x18

---

CeSmB12: calculated powder diffraction line list (CuKα), based on a cell relaxed with PBE.
Peak positions follow from Bragg's law for the DFT cell and can differ from measured ones.

The 8 most intense peaks (5° ≤ 2θ ≤ 70°), by intensity:
d_spacing  I/Imax  index
2.912  100  2 0 0
4.118  66  1 1 0
1.842  50  3 1 0
2.377  42  2 0 1
1.373  28  4 0 1
1.681  27  3 1 1
2.059  21  2 2 0
1.456  10  4 0 0

Structural model:
Unit cell a=5.8237 b=5.8237 c=4.1175 alpha=90.00 beta=90.00 gamma=90.00
Space group P4/mmm (No. 123)
One atom of each set of equivalent atoms:
Ce1 0.0000 0.0000 0.0000 x1
Sm1 0.5000 0.5000 0.0000 x1
B1 0.0000 0.5000 0.1991 x4
B2 0.1500 0.3489 0.5000 x8

---

Ce2TcB10: calculated powder diffraction line list (CuKα), based on a cell relaxed with PBE.
Peak positions follow from Bragg's law for the DFT cell and can differ from measured ones.

The 10 most intense peaks (5° ≤ 2θ ≤ 70°), by intensity:
d_spacing  I/Imax  index
2.911  100  1 2 1
4.057  68  1 2 0
2.362  56  0 4 1
2.368  53  2 0 1
2.029  35  2 4 0
1.858  27  1 2 2
3.242  23  1 1 1
2.089  19  0 0 2
1.455  18  2 4 2
1.662  14  1 6 1

Structural model:
Unit cell a=5.7492 b=11.4535 c=4.1787 alpha=90.00 beta=90.00 gamma=90.00
Space group Pbam (No. 55)
One atom of each set of equivalent atoms:
Ce1 0.2267 0.1299 0.0000 x4
Tc1 0.0000 0.5000 0.5000 x2
B1 0.0670 0.3059 0.5000 x4
B2 0.1167 0.9571 0.5000 x4
B3 0.1257 0.8026 0.5000 x4
B4 0.2286 0.3803 0.1994 x8

---

CeTcB14: calculated powder diffraction line list (CuKα), based on a cell relaxed with PBE.
Peak positions follow from Bragg's law for the DFT cell and can differ from measured ones.

The 10 most intense peaks (5° ≤ 2θ ≤ 70°), by intensity:
d_spacing  I/Imax  index
5.449  100  0 2 0
2.684  68  2 1 1
2.202  55  2 3 1
3.226  48  1 1 2
2.193  45  0 3 3
3.597  44  1 2 1
2.474  36  1 3 2
2.668  36  0 1 3
1.613  23  2 2 4
4.789  21  1 0 1

Structural model:
Unit cell a=5.8794 b=10.8990 c=8.2537 alpha=90.00 beta=90.00 gamma=90.00
Space group Imma (No. 74)
One atom of each set of equivalent atoms:
Ce1 0.0000 0.2500 0.1242 x4
Tc1 0.2500 0.2500 0.7500 x4
B1 0.0000 0.0815 0.6703 x8
B2 0.0000 0.1219 0.8686 x8
B3 0.0000 0.1668 0.4657 x8
B4 0.1618 0.0627 0.3395 x16
B5 0.2461 0.0773 0.5495 x16

---

CeTcB4: calculated powder diffraction line list (CuKα), based on a cell relaxed with PBE.
Peak positions follow from Bragg's law for the DFT cell and can differ from measured ones.

The 10 most intense peaks (5° ≤ 2θ ≤ 70°), by intensity:
d_spacing  I/Imax  index
2.279  100  0 4 1
2.905  80  0 4 0
3.676  78  0 0 1
1.993  30  2 3 1
1.838  27  0 0 2
2.131  26  1 4 1
1.553  25  0 4 2
2.372  21  2 3 0
2.437  20  1 3 1
2.615  18  1 4 0

Structural model:
Unit cell a=6.0002 b=11.6206 c=3.6763 alpha=90.00 beta=90.00 gamma=90.00
Space group Pbam (No. 55)
One atom of each set of equivalent atoms:
Ce1 0.1268 0.1503 0.0000 x4
Tc1 0.1362 0.4090 0.0000 x4
B1 0.0242 0.6907 0.5000 x4
B2 0.1117 0.5461 0.5000 x4
B3 0.1378 0.9685 0.5000 x4
B4 0.2145 0.8151 0.5000 x4

---

CeTcB3: calculated powder diffraction line list (CuKα), based on a cell relaxed with PBE.
Peak positions follow from Bragg's law for the DFT cell and can differ from measured ones.

The 10 most intense peaks (5° ≤ 2θ ≤ 70°), by intensity:
d_spacing  I/Imax  index
2.201  100  2 2 1
3.814  79  0 0 1
2.695  74  2 2 0
1.986  36  0 4 1
1.557  28  2 2 2
2.326  25  0 4 0
1.907  17  0 0 2
1.475  12  0 4 2
1.516  12  4 0 1
1.404  11  2 6 0

Structural model:
Unit cell a=6.6108 b=9.3049 c=3.8139 alpha=90.00 beta=90.00 gamma=90.00
Space group Cmmm (No. 65)
One atom of each set of equivalent atoms:
Ce1 0.0000 0.0000 0.0000 x2
Ce2 0.0000 0.5000 0.0000 x2
Tc1 0.2500 0.2500 0.0000 x4
B1 0.0000 0.2199 0.5000 x4
B2 0.2267 0.1036 0.5000 x8

---

CeTc2B4: calculated powder diffraction line list (CuKα), based on a cell relaxed with PBE.
Peak positions follow from Bragg's law for the DFT cell and can differ from measured ones.

The 10 most intense peaks (5° ≤ 2θ ≤ 70°), by intensity:
d_spacing  I/Imax  index
2.487  100  2 2 0
3.381  97  1 1 1
2.702  75  4 0 0
3.053  51  3 1 -1
2.361  50  4 0 -2
2.675  45  0 0 2
2.130  38  2 2 1
1.516  33  3 3 1
1.990  33  2 2 -2
2.410  32  2 2 -1

Structural model:
Unit cell a=11.5477 b=5.6049 c=5.7158 alpha=90.00 beta=110.60 gamma=90.00
Space group C2/c (No. 15)
One atom of each set of equivalent atoms:
Ce1 0.0000 0.2353 0.2500 x4
Tc1 0.2393 0.4271 0.1699 x8
B1 0.0824 0.3133 0.8031 x8
B2 0.1389 0.1007 0.0190 x8

---

CeThB8: calculated powder diffraction line list (CuKα), based on a cell relaxed with PBE.
Peak positions follow from Bragg's law for the DFT cell and can differ from measured ones.

The 10 most intense peaks (5° ≤ 2θ ≤ 70°), by intensity:
d_spacing  I/Imax  index
4.097  100  0 0 1
2.708  99  2 2 1
2.529  91  3 1 1
3.608  74  2 2 0
3.215  71  3 1 0
2.540  70  1 3 1
3.238  49  1 3 0
1.607  32  5 3 1
1.612  31  3 5 1
1.781  28  2 2 2

Structural model:
Unit cell a=10.1591 b=10.2497 c=4.0967 alpha=90.00 beta=90.00 gamma=90.00
Space group Cmmm (No. 65)
One atom of each set of equivalent atoms:
Ce1 0.0000 0.1859 0.0000 x4
Th1 0.1865 0.5000 0.0000 x4
B1 0.0000 0.4113 0.5000 x4
B2 0.0886 0.0000 0.5000 x4
B3 0.1421 0.3172 0.5000 x8
B4 0.1804 0.1435 0.5000 x8
B5 0.2500 0.2500 0.2017 x8